For MnZn3Au12, a DFT-relaxed cell (GGA-PBE, Alexandria) gives the simulated powder XRD pattern in this record (copper Kα).

Principal peaks in the range 10° ≤ 2θ ≤ 80°, by angle:
21.60°, 4.114 Å, rel. 8
21.77°, 4.082 Å, rel. 4
30.86°, 2.898 Å, rel. 7
37.98°, 2.369 Å, rel. 100
44.02°, 2.057 Å, rel. 33
44.38°, 2.041 Å, rel. 16
64.01°, 1.455 Å, rel. 11
64.29°, 1.449 Å, rel. 22
76.91°, 1.240 Å, rel. 26
77.43°, 1.233 Å, rel. 13

Cell and atoms:
```
16
Lattice="4.114 0.000 0.000 0.000 4.114 0.000 0.000 0.000 16.329" Properties=species:S:1:pos:R:3 pbc="T T T"
Mn 0.000 0.000 0.000
Zn 0.000 0.000 4.082
Zn 0.000 0.000 8.164
Zn 0.000 0.000 12.247
Au 0.000 2.057 2.037
Au 0.000 2.057 6.123
Au 0.000 2.057 10.206
Au 0.000 2.057 14.292
Au 2.057 0.000 2.037
Au 2.057 0.000 6.123
Au 2.057 0.000 10.206
Au 2.057 0.000 14.292
Au 2.057 2.057 0.000
Au 2.057 2.057 4.084
Au 2.057 2.057 8.164
Au 2.057 2.057 12.245
```

For MnZn2Au, a DFT-relaxed cell (GGA-PBE, Alexandria) gives the simulated powder XRD pattern in this record (copper Kα).

Principal peaks in the range 10° ≤ 2θ ≤ 80°, by angle:
10.13°, 8.729 Å, rel. 66
20.35°, 4.364 Å, rel. 20
35.91°, 2.501 Å, rel. 13
36.41°, 2.468 Å, rel. 15
38.37°, 2.346 Å, rel. 100
41.38°, 2.182 Å, rel. 27
45.51°, 1.993 Å, rel. 61
64.21°, 1.451 Å, rel. 21
68.41°, 1.371 Å, rel. 17
79.31°, 1.208 Å, rel. 24

Cell and atoms:
```
4
Lattice="1.451 0.838 8.729 -1.451 0.838 8.729 0.000 -1.675 8.729" Properties=species:S:1:pos:R:3 pbc="T T T"
Mn 0.000 0.000 0.000
Zn 0.000 0.000 12.985
Zn 0.000 0.000 19.525
Au 0.000 0.000 6.499
```

For MoAu7, a DFT-relaxed cell (GGA-PBE, Alexandria) gives the simulated powder XRD pattern in this record (copper Kα).

Principal peaks in the range 10° ≤ 2θ ≤ 80°, by angle:
18.42°, 4.817 Å, rel. 2
21.30°, 4.171 Å, rel. 1
30.30°, 2.950 Å, rel. 1
35.69°, 2.515 Å, rel. 2
37.34°, 2.408 Å, rel. 100
43.38°, 2.086 Å, rel. 49
47.50°, 1.914 Å, rel. 1
63.03°, 1.475 Å, rel. 33
75.60°, 1.258 Å, rel. 40
79.61°, 1.204 Å, rel. 12

Cell and atoms:
```
8
Lattice="0.000 4.171 4.171 4.171 0.000 4.171 4.171 4.171 0.000" Properties=species:S:1:pos:R:3 pbc="T T T"
Mo 0.000 0.000 0.000
Au 2.086 2.086 0.000
Au 2.086 0.000 2.086
Au 4.171 2.086 2.086
Au 0.000 2.086 2.086
Au 2.086 4.171 2.086
Au 2.086 2.086 4.171
Au 4.171 4.171 4.171
```

For Mo3Au2, a DFT-relaxed cell (GGA-PBE, Alexandria) gives the simulated powder XRD pattern in this record (copper Kα).

Principal peaks in the range 10° ≤ 2θ ≤ 80°, by angle:
14.65°, 6.047 Å, rel. 17
22.05°, 4.031 Å, rel. 8
37.17°, 2.419 Å, rel. 39
38.98°, 2.311 Å, rel. 100
44.79°, 2.023 Å, rel. 67
63.98°, 1.455 Å, rel. 23
66.43°, 1.407 Å, rel. 21
76.38°, 1.247 Å, rel. 14
78.66°, 1.216 Å, rel. 26
79.79°, 1.202 Å, rel. 13

Cell and atoms:
```
5
Lattice="1.407 0.813 12.093 -1.407 0.813 12.093 0.000 -1.625 12.093" Properties=species:S:1:pos:R:3 pbc="T T T"
Mo 0.000 0.000 0.000
Mo 0.000 0.000 7.259
Mo 0.000 0.000 29.021
Au 0.000 0.000 14.490
Au 0.000 0.000 21.790
```

For Mo3Au, a DFT-relaxed cell (GGA-PBE, Alexandria) gives the simulated powder XRD pattern in this record (copper Kα).

Principal peaks in the range 10° ≤ 2θ ≤ 80°, by angle:
26.04°, 3.422 Å, rel. 16
38.34°, 2.348 Å, rel. 100
39.58°, 2.277 Å, rel. 86
41.74°, 2.164 Å, rel. 40
43.56°, 2.078 Å, rel. 34
50.26°, 1.815 Å, rel. 20
61.91°, 1.499 Å, rel. 24
67.33°, 1.391 Å, rel. 16
73.94°, 1.282 Å, rel. 14
75.69°, 1.257 Å, rel. 15

Cell and atoms:
```
4
Lattice="2.702 0.000 0.000 0.000 4.328 0.000 -0.758 0.000 5.588" Properties=species:S:1:pos:R:3 pbc="T T T"
Mo 0.000 0.000 0.000
Mo 0.980 2.164 1.311
Mo 0.964 2.164 4.278
Au -0.379 0.000 2.794
```

For MoAu2, a DFT-relaxed cell (GGA-PBE, Alexandria) gives the simulated powder XRD pattern in this record (copper Kα).

Principal peaks in the range 10° ≤ 2θ ≤ 80°, by angle:
29.28°, 3.050 Å, rel. 8
37.70°, 2.386 Å, rel. 100
38.27°, 2.352 Å, rel. 97
42.43°, 2.130 Å, rel. 70
47.44°, 1.917 Å, rel. 27
60.77°, 1.524 Å, rel. 12
62.36°, 1.489 Å, rel. 11
65.52°, 1.425 Å, rel. 39
74.14°, 1.279 Å, rel. 26
75.22°, 1.263 Å, rel. 25

Cell and atoms:
```
12
Lattice="6.097 0.000 0.000 0.000 3.833 0.000 0.000 0.000 8.934" Properties=species:S:1:pos:R:3 pbc="T T T"
Mo 0.579 0.958 0.572
Mo 2.470 2.875 5.039
Mo 3.627 0.958 3.895
Mo 5.518 2.875 8.362
Au 0.734 0.958 3.697
Au 0.815 0.958 6.672
Au 2.233 2.875 2.205
Au 2.314 2.875 8.164
Au 3.783 0.958 0.770
Au 3.864 0.958 6.728
Au 5.281 2.875 2.262
Au 5.362 2.875 5.237
```